Entry 1:
Starting from a PBE-relaxed structure, the XRD peak list of Rb3Fe2Se4 was calculated for Cu Ka.
Kinematic intensities with the Lorentz-polarization factor, no thermal factor.

Structure:
```
data_Rb3Fe2Se4
_chemical_formula_sum 'Rb12 Fe8 Se16'
_space_group_name_H-M_alt 'C 1 2/c 1'
_space_group_IT_number 15
_cell_length_a 14.844
_cell_length_b 10.699
_cell_length_c 7.353
_cell_angle_alpha 90.00
_cell_angle_beta 96.15
_cell_angle_gamma 90.00
loop_
_space_group_symop_operation_xyz
'x,y,z'
'-x,-y,-z'
'-x,y,-z+1/2'
'x,-y,z+1/2'
'x+1/2,y+1/2,z'
'-x+1/2,-y+1/2,-z'
'-x+1/2,y+1/2,-z+1/2'
'x+1/2,-y+1/2,z+1/2'
loop_
_atom_site_label
_atom_site_fract_x
_atom_site_fract_y
_atom_site_fract_z
_atom_site_occupancy
Rb1 0.000 0.086 0.250 1
Rb2 0.122 0.365 0.552 1
Fe1 0.219 0.129 0.950 1
Se1 0.122 0.306 0.015 1
Se2 0.184 0.058 0.627 1
```

Top 6 peaks for 2θ = 5–70°, low angle first:
d (Å)	Position (°2θ)	I_rel
3.656	24.35	48
3.628	24.54	41
3.144	28.39	48
2.845	31.44	78
2.746	32.61	100
2.548	35.23	47

Entry 2:
Starting from a PBE-relaxed structure, the XRD peak list of RbFeSe2 was calculated for Cu Ka.
Kinematic intensities with the Lorentz-polarization factor, no thermal factor.

Structure:
```
data_RbFeSe2
_chemical_formula_sum 'Rb4 Fe4 Se8'
_space_group_name_H-M_alt 'C 1 2/c 1'
_space_group_IT_number 15
_cell_length_a 7.552
_cell_length_b 12.129
_cell_length_c 5.672
_cell_angle_alpha 90.00
_cell_angle_beta 111.68
_cell_angle_gamma 90.00
loop_
_space_group_symop_operation_xyz
'x,y,z'
'-x,-y,-z'
'-x,y,-z+1/2'
'x,-y,z+1/2'
'x+1/2,y+1/2,z'
'-x+1/2,-y+1/2,-z'
'-x+1/2,y+1/2,-z+1/2'
'x+1/2,-y+1/2,z+1/2'
loop_
_atom_site_label
_atom_site_fract_x
_atom_site_fract_y
_atom_site_fract_z
_atom_site_occupancy
Rb1 0.000 0.140 0.250 1
Fe1 0.000 0.499 0.750 1
Se1 0.189 0.392 0.094 1
```

Top 6 peaks for 2θ = 5–70°, low angle first:
d (Å)	Position (°2θ)	I_rel
6.069	14.60	51
3.503	25.42	30
3.469	25.68	64
3.094	28.85	100
2.697	33.22	38
2.322	38.79	35